# Nd2Sb4Ir3
Calculated XRD peak list, Cu Kα (weighted mean of Kα1 and Kα2). Input: a DFT-relaxed cell (PBE, the Materials Project).
Intensities are scaled so that the largest is 1000.

Atomic structure:
```
data_Nd2Sb4Ir3
_symmetry_space_group_name_H-M 'P n m a'
_symmetry_Int_Tables_number 62
_cell_length_a 16.3167
_cell_length_b 4.5854
_cell_length_c 11.0728
_cell_angle_alpha 90.00
_cell_angle_beta 90.00
_cell_angle_gamma 90.00
loop_
_symmetry_equiv_pos_as_xyz
'x,y,z'
'-x,-y,-z'
'-x+1/2,-y,z+1/2'
'x+1/2,y,-z+1/2'
'x+1/2,-y+1/2,-z+1/2'
'-x+1/2,y+1/2,z+1/2'
'-x,y+1/2,-z'
'x,-y+1/2,z'
loop_
_atom_site_label
_atom_site_type_symbol
_atom_site_fract_x
_atom_site_fract_y
_atom_site_fract_z
_atom_site_occupancy
Nd1 Nd 0.0067 0.2500 0.2481 1
Nd2 Nd 0.2486 0.7500 0.5892 1
Sb1 Sb 0.0684 0.7500 0.4471 1
Sb2 Sb 0.1058 0.7500 0.0627 1
Sb3 Sb 0.1498 0.2500 0.7751 1
Sb4 Sb 0.2106 0.2500 0.3868 1
Ir1 Ir 0.0562 0.2500 0.9660 1
Ir2 Ir 0.0924 0.2500 0.5564 1
Ir3 Ir 0.1824 0.7500 0.2769 1
```

Main lines, by angle (2θ from 10° to 90°):
| Position (°2θ) | d (Å) | Rel. int. | (hkl) |
| --- | --- | --- | --- |
| 19.38 | 4.581 | 125 | 2 0 2 |
| 30.42 | 2.938 | 458 | 4 1 1 |
| 33.03 | 2.712 | 1000 | 2 1 3 |
| 34.70 | 2.585 | 143 | 5 1 1 |
| 36.82 | 2.441 | 428 | 6 0 2 |
| 39.30 | 2.293 | 478 | 0 2 0 |
| 41.90 | 2.156 | 136 | 5 1 3 |
| 45.48 | 1.994 | 146 | 0 1 5 |
| 54.94 | 1.671 | 271 | 6 2 2 |
| 67.29 | 1.391 | 126 | 2 3 3 |

---

# YTa3O9
Calculated XRD peak list, Cu Kα (weighted mean of Kα1 and Kα2). Input: a DFT-relaxed cell (PBE, the Materials Project).
Intensities are scaled so that the largest is 1000.

Atomic structure:
```
data_YTa3O9
_symmetry_space_group_name_H-M 'C 1 2/m 1'
_symmetry_Int_Tables_number 12
_cell_length_a 16.7819
_cell_length_b 5.5861
_cell_length_c 9.6671
_cell_angle_alpha 90.00
_cell_angle_beta 125.01
_cell_angle_gamma 90.00
loop_
_symmetry_equiv_pos_as_xyz
'x,y,z'
'-x,-y,-z'
'-x,y,-z'
'x,-y,z'
'x+1/2,y+1/2,z'
'-x+1/2,-y+1/2,-z'
'-x+1/2,y+1/2,-z'
'x+1/2,-y+1/2,z'
loop_
_atom_site_label
_atom_site_type_symbol
_atom_site_fract_x
_atom_site_fract_y
_atom_site_fract_z
_atom_site_occupancy
Y1 Y 0.1848 0.0000 0.0074 1
Ta1 Ta 0.0741 0.5000 0.7433 1
Ta2 Ta 0.0827 0.0000 0.2481 1
Ta3 Ta 0.2491 0.5000 0.2637 1
O1 O 0.0000 0.0000 0.0000 1
O2 O 0.0000 0.5000 0.5000 1
O3 O 0.0073 0.2417 0.7653 1
O4 O 0.1633 0.0000 0.4978 1
O5 O 0.1674 0.2358 0.2330 1
O6 O 0.1719 0.5000 0.0004 1
O7 O 0.1790 0.2480 0.7906 1
```

Main lines, by angle (2θ from 10° to 90°):
| Position (°2θ) | d (Å) | Rel. int. | (hkl) |
| --- | --- | --- | --- |
| 22.48 | 3.955 | 1000 | 3 1 -1 |
| 31.95 | 2.801 | 545 | 3 1 1 |
| 32.06 | 2.792 | 539 | 0 2 0 |
| 45.89 | 1.977 | 338 | 6 2 -2 |
| 51.57 | 1.772 | 142 | 6 2 0 |
| 51.72 | 1.767 | 212 | 9 1 -3 |
| 56.87 | 1.619 | 97 | 6 0 2 |
| 57.09 | 1.613 | 152 | 3 3 -3 |
| 57.17 | 1.611 | 97 | 6 0 -6 |
| 67.04 | 1.396 | 99 | 0 4 0 |

---

# Dy3Y
Calculated XRD peak list, Cu Kα (weighted mean of Kα1 and Kα2). Input: a DFT-relaxed cell (PBE, the Materials Project).
Intensities are scaled so that the largest is 1000.

Atomic structure:
```
data_Dy3Y
_symmetry_space_group_name_H-M 'P m -3 m'
_symmetry_Int_Tables_number 221
_symmetry_space_group_name_Hall '-P 4 2 3'
_cell_length_a 5.0379
_cell_length_b 5.0379
_cell_length_c 5.0379
_cell_angle_alpha 90.00
_cell_angle_beta 90.00
_cell_angle_gamma 90.00
loop_
_atom_site_label
_atom_site_type_symbol
_atom_site_fract_x
_atom_site_fract_y
_atom_site_fract_z
_atom_site_occupancy
Dy1 Dy 0.0000 0.0000 0.5000 1
Y1 Y 0.5000 0.5000 0.5000 1
```

Main lines, by angle (2θ from 10° to 90°):
| Position (°2θ) | d (Å) | Rel. int. | (hkl) |
| --- | --- | --- | --- |
| 17.60 | 5.038 | 40 | 1 0 0 |
| 25.00 | 3.562 | 36 | 1 1 0 |
| 30.74 | 2.909 | 1000 | 1 1 1 |
| 35.64 | 2.519 | 505 | 2 0 0 |
| 51.29 | 1.781 | 358 | 2 2 0 |
| 61.00 | 1.519 | 425 | 3 1 1 |
| 64.02 | 1.454 | 122 | 2 2 2 |
| 75.48 | 1.259 | 57 | 4 0 0 |
| 83.68 | 1.156 | 175 | 3 3 1 |
| 86.37 | 1.127 | 164 | 4 2 0 |

---

# UO2
Calculated XRD peak list, Cu Kα (weighted mean of Kα1 and Kα2). Input: a DFT-relaxed cell (PBE, the Materials Project).
Intensities are scaled so that the largest is 1000.

Atomic structure:
```
data_UO2
_symmetry_space_group_name_H-M 'P 42/m n m'
_symmetry_Int_Tables_number 136
_symmetry_space_group_name_Hall '-P 4n 2n'
_cell_length_a 5.1385
_cell_length_b 5.1385
_cell_length_c 3.5901
_cell_angle_alpha 90.00
_cell_angle_beta 90.00
_cell_angle_gamma 90.00
loop_
_atom_site_label
_atom_site_type_symbol
_atom_site_fract_x
_atom_site_fract_y
_atom_site_fract_z
_atom_site_occupancy
U1 U 0.0000 0.0000 0.0000 1
O1 O 0.1911 0.1911 0.5000 1
```

Main lines, by angle (2θ from 10° to 90°):
| Position (°2θ) | d (Å) | Rel. int. | (hkl) |
| --- | --- | --- | --- |
| 24.50 | 3.633 | 991 | 1 1 0 |
| 30.37 | 2.943 | 1000 | 1 0 1 |
| 34.92 | 2.569 | 311 | 2 0 0 |
| 46.95 | 1.935 | 744 | 2 1 1 |
| 50.22 | 1.817 | 164 | 2 2 0 |
| 56.64 | 1.625 | 187 | 3 1 0 |
| 57.24 | 1.609 | 203 | 1 1 2 |
| 59.83 | 1.546 | 210 | 3 0 1 |
| 71.18 | 1.325 | 185 | 3 2 1 |
| 79.58 | 1.205 | 152 | 3 1 2 |

---

# CaTi4O9
Calculated XRD peak list, Cu Kα (weighted mean of Kα1 and Kα2). Input: a DFT-relaxed cell (PBE, the Materials Project).
Intensities are scaled so that the largest is 1000.

Atomic structure:
```
data_CaTi4O9
_symmetry_space_group_name_H-M 'P 4/n'
_symmetry_Int_Tables_number 85
_cell_length_a 8.5211
_cell_length_b 8.5211
_cell_length_c 5.2312
_cell_angle_alpha 90.00
_cell_angle_beta 90.00
_cell_angle_gamma 90.00
loop_
_symmetry_equiv_pos_as_xyz
'x,y,z'
'-x,-y,-z'
'-y+1/2,x,z'
'y+1/2,-x,-z'
'-x+1/2,-y+1/2,z'
'x+1/2,y+1/2,-z'
'y,-x+1/2,z'
'-y,x+1/2,-z'
loop_
_atom_site_label
_atom_site_type_symbol
_atom_site_fract_x
_atom_site_fract_y
_atom_site_fract_z
_atom_site_occupancy
Ca1 Ca 0.2500 0.2500 0.1335 1
Ti1 Ti 0.0329 0.6601 0.3802 1
O1 O 0.0095 0.3195 0.9304 1
O2 O 0.0439 0.1439 0.4635 1
O3 O 0.2500 0.7500 0.5000 1
```

Main lines, by angle (2θ from 10° to 90°):
| Position (°2θ) | d (Å) | Rel. int. | (hkl) |
| --- | --- | --- | --- |
| 16.95 | 5.231 | 524 | 0 0 1 |
| 22.51 | 3.950 | 203 | 1 1 1 |
| 26.99 | 3.304 | 109 | 2 0 1 |
| 28.99 | 3.080 | 1000 | 2 1 1 |
| 33.25 | 2.695 | 427 | 1 3 0 |
| 41.90 | 2.156 | 229 | 2 1 2 |
| 47.73 | 1.905 | 344 | 4 2 0 |
| 51.01 | 1.790 | 157 | 4 2 1 |
| 56.81 | 1.621 | 247 | 3 4 1 |
| 58.18 | 1.586 | 160 | 2 1 3 |

---

# LaVN3
Calculated XRD peak list, Cu Kα (weighted mean of Kα1 and Kα2). Input: a DFT-relaxed cell (PBE, the Materials Project).
Intensities are scaled so that the largest is 1000.

Atomic structure:
```
data_LaVN3
_symmetry_space_group_name_H-M 'P 1'
_symmetry_Int_Tables_number 1
_cell_length_a 3.6296
_cell_length_b 6.0249
_cell_length_c 6.3288
_cell_angle_alpha 106.96
_cell_angle_beta 96.41
_cell_angle_gamma 90.84
loop_
_symmetry_equiv_pos_as_xyz
'x,y,z'
loop_
_atom_site_label
_atom_site_type_symbol
_atom_site_fract_x
_atom_site_fract_y
_atom_site_fract_z
_atom_site_occupancy
La1 La 0.0000 0.0000 0.0000 1
La2 La 0.0742 0.5434 0.4573 1
V1 V 0.5253 0.4990 0.9815 1
V2 V 0.5966 0.0285 0.4818 1
N1 N 0.0019 0.4326 0.0402 1
N2 N 0.1261 0.0456 0.6162 1
N3 N 0.4186 0.1577 0.7794 1
N4 N 0.5142 0.6787 0.8102 1
N5 N 0.5554 0.7346 0.2940 1
N6 N 0.5592 0.2126 0.3139 1
```

Main lines, by angle (2θ from 10° to 90°):
| Position (°2θ) | d (Å) | Rel. int. | (hkl) |
| --- | --- | --- | --- |
| 17.92 | 4.950 | 306 | 0 1 -1 |
| 24.37 | 3.653 | 170 | 0 1 1 |
| 29.78 | 3.000 | 1000 | 0 0 2 |
| 31.08 | 2.878 | 526 | 0 2 0 |
| 31.54 | 2.837 | 543 | 1 -1 1 |
| 33.04 | 2.711 | 417 | -1 1 1 |
| 36.30 | 2.475 | 300 | 0 2 -2 |
| 36.60 | 2.455 | 216 | 1 1 -2 |
| 36.84 | 2.440 | 338 | 1 1 1 |
| 49.94 | 1.826 | 192 | 0 2 2 |

---

# Ba2PrGaS5
Calculated XRD peak list, Cu Kα (weighted mean of Kα1 and Kα2). Input: a DFT-relaxed cell (PBE, the Materials Project).
Intensities are scaled so that the largest is 1000.

Atomic structure:
```
data_Ba2PrGaS5
_symmetry_space_group_name_H-M 'F m m m'
_symmetry_Int_Tables_number 69
_symmetry_space_group_name_Hall '-F 2 2'
_cell_length_a 11.5298
_cell_length_b 11.7834
_cell_length_c 13.6911
_cell_angle_alpha 90.00
_cell_angle_beta 90.00
_cell_angle_gamma 90.00
loop_
_atom_site_label
_atom_site_type_symbol
_atom_site_fract_x
_atom_site_fract_y
_atom_site_fract_z
_atom_site_occupancy
Ba1 Ba 0.0000 0.1585 0.0000 1
Ba2 Ba 0.2500 0.2500 0.2500 1
Pr1 Pr 0.1664 0.0000 0.5000 1
Ga1 Ga 0.0000 0.0000 0.2478 1
S1 S 0.0000 0.1396 0.3611 1
S2 S 0.1570 0.0000 0.1463 1
S3 S 0.2500 0.2500 0.0000 1
```

Main lines, by angle (2θ from 10° to 90°):
| Position (°2θ) | d (Å) | Rel. int. | (hkl) |
| --- | --- | --- | --- |
| 24.81 | 3.588 | 193 | 1 3 1 |
| 25.23 | 3.530 | 1000 | 2 2 2 |
| 26.03 | 3.423 | 341 | 0 0 4 |
| 31.03 | 2.882 | 631 | 4 0 0 |
| 31.36 | 2.852 | 534 | 3 1 3 |
| 34.18 | 2.623 | 253 | 2 4 0 |
| 34.64 | 2.589 | 161 | 4 2 0 |
| 40.93 | 2.205 | 231 | 4 0 4 |
| 45.44 | 1.996 | 205 | 2 2 6 |
| 46.00 | 1.973 | 185 | 4 4 2 |

---

# InSeClO3
Calculated XRD peak list, Cu Kα (weighted mean of Kα1 and Kα2). Input: a DFT-relaxed cell (PBE, the Materials Project).
Intensities are scaled so that the largest is 1000.

Atomic structure:
```
data_InSeClO3
_symmetry_space_group_name_H-M 'P b c a'
_symmetry_Int_Tables_number 61
_cell_length_a 7.1583
_cell_length_b 16.6645
_cell_length_c 7.2603
_cell_angle_alpha 90.00
_cell_angle_beta 90.00
_cell_angle_gamma 90.00
loop_
_symmetry_equiv_pos_as_xyz
'x,y,z'
'-x,-y,-z'
'-x+1/2,-y,z+1/2'
'x+1/2,y,-z+1/2'
'x+1/2,-y+1/2,-z'
'-x+1/2,y+1/2,z'
'-x,y+1/2,-z+1/2'
'x,-y+1/2,z+1/2'
loop_
_atom_site_label
_atom_site_type_symbol
_atom_site_fract_x
_atom_site_fract_y
_atom_site_fract_z
_atom_site_occupancy
In1 In 0.0377 0.1538 0.2498 1
Se1 Se 0.2135 0.6609 0.6801 1
Cl1 Cl 0.2129 0.5465 0.1907 1
O1 O 0.0193 0.6523 0.5443 1
O2 O 0.0916 0.1543 0.5441 1
O3 O 0.2122 0.7308 0.2156 1
```

Main lines, by angle (2θ from 10° to 90°):
| Position (°2θ) | d (Å) | Rel. int. | (hkl) |
| --- | --- | --- | --- |
| 10.62 | 8.332 | 929 | 0 2 0 |
| 16.19 | 5.474 | 449 | 0 2 1 |
| 21.33 | 4.166 | 621 | 0 4 0 |
| 24.52 | 3.630 | 815 | 0 0 2 |
| 27.55 | 3.238 | 353 | 1 0 2 |
| 29.83 | 2.996 | 1000 | 2 2 1 |
| 32.22 | 2.778 | 826 | 0 6 0 |
| 35.30 | 2.543 | 708 | 2 4 1 |
| 46.60 | 1.949 | 239 | 2 2 3 |
| 52.36 | 1.747 | 276 | 2 8 1 |

---

Number 6 is which compound? LaVN3